Computed powder diffractogram of CaZrO3 for Cu Ka, from DFT lattice parameters and positions (GGA-PBE).
Kinematic intensities with the Lorentz-polarization factor, no thermal factor.

Crystal structure
abc: 5.8272 11.4355 8.1156
angles: 90.00 90.00 90.00
Atoms (fractional coordinates):
Ca: 0.2121 0.1379 0.0000
Ca: 0.2459 0.1111 0.5000
Ca: 0.2541 0.6111 0.5000
Ca: 0.2879 0.6379 0.0000
Ca: 0.7121 0.3621 0.0000
Ca: 0.7459 0.3889 0.5000
Ca: 0.7541 0.8889 0.5000
Ca: 0.7879 0.8621 0.0000
Zr: 0.2427 0.3746 0.2502
Zr: 0.2427 0.3746 0.7498
Zr: 0.2573 0.8746 0.2502
Zr: 0.2573 0.8746 0.7498
Zr: 0.7427 0.1254 0.2502
Zr: 0.7427 0.1254 0.7498
Zr: 0.7573 0.6254 0.2502
Zr: 0.7573 0.6254 0.7498
O: 0.0000 0.0000 0.3125
O: 0.0000 0.0000 0.6875
O: 0.0000 0.5000 0.3205
O: 0.0000 0.5000 0.6795
O: 0.0226 0.7414 0.1840
O: 0.0226 0.7414 0.8160
O: 0.2307 0.9331 0.0000
O: 0.2470 0.8153 0.5000
O: 0.2530 0.3153 0.5000
O: 0.2693 0.4331 0.0000
O: 0.4774 0.2414 0.1840
O: 0.4774 0.2414 0.8160
O: 0.5000 0.0000 0.3205
O: 0.5000 0.0000 0.6795
O: 0.5000 0.5000 0.3125
O: 0.5000 0.5000 0.6875
O: 0.5226 0.7586 0.1840
O: 0.5226 0.7586 0.8160
O: 0.7307 0.5669 0.0000
O: 0.7470 0.6847 0.5000
O: 0.7530 0.1847 0.5000
O: 0.7693 0.0669 0.0000
O: 0.9774 0.2586 0.1840
O: 0.9774 0.2586 0.8160

Most intense lines, 2θ = 10–90°, by intensity:
Position (°2θ)	I/Imax
31.1	100
21.8	35
55.6	35
44.4	32
30.7	24
54.8	18